Structure and theoretical X-ray powder pattern of VMo8W2 (a structure optimized by DFT (PBE); Cu Ka).

The 8 most intense peaks (10° ≤ 2θ ≤ 90°), by angle:
d [Å], 2θ (°), Rel. int.
2.413, 37.27, 16.5
2.284, 39.45, 14.0
2.250, 40.08, 100.0
2.195, 41.12, 34.4
2.148, 42.07, 27.9
1.645, 55.89, 10.1
1.299, 72.84, 10.2
1.125, 86.53, 10.4

```
VMo8W2
1.0
6.4148 -2.2486 0.0000
6.4148 2.2486 0.0000
-3.8752 0.0000 6.2389
V Mo W
1 8 2
Direct
0.0000 0.0000 0.0000
0.0535 0.0535 0.3931
0.1856 0.1856 0.9474
0.2919 0.2919 0.6884
0.4583 0.4583 0.1444
0.5417 0.5417 0.8556
0.7081 0.7081 0.3116
0.8144 0.8144 0.0526
0.9465 0.9465 0.6069
0.3530 0.3530 0.3836
0.6470 0.6470 0.6164
```

---

Structure and theoretical X-ray powder pattern of V4MoW7 (a structure optimized by DFT (PBE); Cu Ka).

The 8 most intense peaks (10° ≤ 2θ ≤ 90°), by angle:
d [Å], 2θ (°), Rel. int.
4.437, 20.01, 41.1
2.231, 40.43, 100.0
2.219, 40.67, 73.7
2.209, 40.84, 26.1
2.197, 41.09, 32.3
1.290, 73.37, 12.7
1.283, 73.88, 12.6
1.278, 74.20, 17.3

```
V4MoW7
1.0
2.6944 0.0000 0.0000
-0.9448 6.8038 0.0000
-1.0124 -1.8663 10.0987
V Mo W
4 1 7
Direct
0.0000 0.0000 0.0000
0.0201 0.3326 0.6621
0.0439 0.6711 0.3354
0.5897 0.6674 0.8308
0.5497 0.9987 0.4988
0.2473 0.6734 0.0831
0.2824 0.3351 0.9113
0.2955 0.3372 0.4177
0.3461 0.9968 0.7508
0.5564 0.3378 0.1689
0.7829 0.9993 0.2490
0.8035 0.6637 0.5835
```

---

Structure and theoretical X-ray powder pattern of VMo6W2 (a structure optimized by DFT (PBE); Cu Ka).

The 8 most intense peaks (10° ≤ 2θ ≤ 90°), by angle:
d [Å], 2θ (°), Rel. int.
2.381, 37.79, 52.9
2.344, 38.40, 100.0
2.219, 40.66, 42.6
2.172, 41.58, 42.5
1.955, 46.44, 28.6
1.741, 52.57, 21.2
1.608, 57.31, 13.3
1.304, 72.49, 15.8

```
VMo6W2
1.0
3.8770 -4.1408 0.0000
3.8770 4.1408 0.0000
-1.2874 0.0000 4.5130
V Mo W
1 6 2
Direct
0.0000 0.0000 0.0000
0.1615 0.5046 0.8334
0.1678 0.8322 0.5000
0.4954 0.8385 0.1666
0.5046 0.1615 0.8334
0.8322 0.1678 0.5000
0.8385 0.4954 0.1666
0.3312 0.3312 0.3329
0.6688 0.6688 0.6671
```